For NaLaTbCoO6, a structure optimized by DFT (PBE+U) gives the theoretical PXRD pattern in this record (Cu Kα).
Intensities are scaled so that the largest is 100.

Structural model:
abc: 8.029 8.029 8.029
angles: 90.00 90.00 90.00
Space group F-43m (No. 216)
Unique sites:
Na (0.000, 0.000, 0.000) (multiplicity 4)
La (0.000, 0.000, 0.500) (multiplicity 4)
Tb (0.250, 0.250, 0.250) (multiplicity 4)
Co (0.250, 0.250, 0.750) (multiplicity 4)
O (0.021, 0.250, 0.750) (multiplicity 24)

Top 12 peaks for 2θ = 15–90°, in order of rising 2θ:
| 2θ (°) | intensity |
| --- | --- |
| 19.15 | 35 |
| 22.14 | 9 |
| 31.52 | 100 |
| 37.14 | 24 |
| 45.17 | 33 |
| 49.48 | 12 |
| 56.12 | 39 |
| 59.85 | 7 |
| 65.79 | 19 |
| 69.23 | 7 |
| 74.78 | 17 |
| 83.40 | 6 |